Diffraction record for LiMnP2O7. The PXRD pattern is simulated, not measured: it uses a DFT-relaxed cell (PBE+U, the Materials Project) and CuKα.
Neutral-atom scattering factors, no anomalous dispersion.

Crystal structure
```
data_LiMnP2O7
_chemical_formula_sum 'Li8 Mn8 P16 O56'
_cell_length_a 9.4696
_cell_length_b 8.0797
_cell_length_c 13.7718
_cell_angle_alpha 90.00
_cell_angle_beta 108.98
_cell_angle_gamma 90.00
_symmetry_space_group_name_H-M 'C 1 2/c 1'
_symmetry_Int_Tables_number 15
_symmetry_space_group_name_Hall '-C 2yc'
loop_
_atom_site_label
_atom_site_type_symbol
_atom_site_fract_x
_atom_site_fract_y
_atom_site_fract_z
Li1 Li 0.2195 0.1147 0.3652
Mn1 Mn 0.2466 0.4923 0.8600
P1 P 0.0521 0.2046 0.9241
P2 P 0.0589 0.3230 0.1327
O1 O 0.0649 0.3309 0.0181
O2 O 0.1089 0.3341 0.3773
O3 O 0.1124 0.1501 0.1780
O4 O 0.1157 0.3063 0.8541
O5 O 0.1179 0.1804 0.6281
O6 O 0.1399 0.0480 0.9660
O7 O 0.1546 0.4651 0.1888
```

Top 8 peaks for 10° ≤ 2θ ≤ 90°, in order of rising 2θ:
d [Å]  I_rel
5.047  32.0
4.986  100.0
3.999  22.0
3.256  76.0
2.999  95.9
2.957  20.8
2.915  40.2
2.200  24.3

Diffraction record for Li3Mn3P4O16. The PXRD pattern is simulated, not measured: it uses a DFT-relaxed cell (PBE+U, the Materials Project) and CuKα.
Neutral-atom scattering factors, no anomalous dispersion.

Crystal structure
```
data_Li3Mn3P4O16
_chemical_formula_sum 'Li6 Mn6 P8 O32'
_cell_length_a 11.0833
_cell_length_b 6.0037
_cell_length_c 9.6309
_cell_angle_alpha 90.00
_cell_angle_beta 114.97
_cell_angle_gamma 90.00
_symmetry_space_group_name_H-M 'P 1 c 1'
_symmetry_Int_Tables_number 7
_symmetry_space_group_name_Hall 'P -2yc'
loop_
_atom_site_label
_atom_site_type_symbol
_atom_site_fract_x
_atom_site_fract_y
_atom_site_fract_z
Li1 Li 0.0000 0.0071 0.0000
Li2 Li 0.2141 0.2230 0.8495
Li3 Li 0.7434 0.2400 0.3608
Mn1 Mn 0.4439 0.4981 0.6796
Mn2 Mn 0.5138 0.0027 0.4687
Mn3 Mn 0.9540 0.4930 0.7196
P1 P 0.1318 0.4969 0.0952
P2 P 0.3250 0.0040 0.6106
P3 P 0.6299 0.4928 0.0065
P4 P 0.8220 0.0121 0.6785
O1 O 0.0546 0.3081 0.1360
O2 O 0.0696 0.2937 0.6363
O3 O 0.1203 0.4833 0.9317
O4 O 0.1815 0.0052 0.9972
O5 O 0.2830 0.4996 0.2106
O6 O 0.3451 0.0098 0.7800
O7 O 0.3989 0.2013 0.0758
O8 O 0.4046 0.2003 0.5779
O9 O 0.5545 0.2938 0.9017
O10 O 0.5584 0.3029 0.3998
O11 O 0.6129 0.4914 0.1580
O12 O 0.6714 0.0057 0.6576
O13 O 0.7750 0.4985 0.5308
O14 O 0.8270 0.0173 0.5244
O15 O 0.8849 0.1952 0.2812
O16 O 0.8922 0.2191 0.7821
```

Top 8 peaks for 10° ≤ 2θ ≤ 90°, in order of rising 2θ:
d [Å]  I_rel
5.024  37.1
4.365  68.1
4.319  68.2
3.853  54.7
3.503  54.9
3.000  100.0
2.513  55.7
2.487  49.1

Diffraction record for LiMnP2O7. The PXRD pattern is simulated, not measured: it uses a DFT-relaxed cell (PBE+U, the Materials Project) and CuKα.
Neutral-atom scattering factors, no anomalous dispersion.

Crystal structure
```
data_LiMnP2O7
_chemical_formula_sum 'Li4 Mn4 P8 O28'
_cell_length_a 6.9784
_cell_length_b 8.1984
_cell_length_c 9.2273
_cell_angle_alpha 90.00
_cell_angle_beta 110.41
_cell_angle_gamma 90.00
_symmetry_space_group_name_H-M 'P 1 21/c 1'
_symmetry_Int_Tables_number 14
_symmetry_space_group_name_Hall '-P 2ybc'
loop_
_atom_site_label
_atom_site_type_symbol
_atom_site_fract_x
_atom_site_fract_y
_atom_site_fract_z
Li1 Li 0.2005 0.0576 0.3340
Mn1 Mn 0.2537 0.0699 0.8700
P1 P 0.0403 0.7372 0.9708
P2 P 0.4305 0.7381 0.2528
O1 O 0.0146 0.0990 0.6456
O2 O 0.0744 0.5992 0.4012
O3 O 0.1228 0.2439 0.9521
O4 O 0.2470 0.6770 0.1002
O5 O 0.3810 0.6084 0.8169
O6 O 0.3829 0.2464 0.3019
O7 O 0.4609 0.5885 0.3642
```

Top 8 peaks for 10° ≤ 2θ ≤ 90°, in order of rising 2θ:
d [Å]  I_rel
5.950  33.6
5.045  47.9
3.452  18.7
3.139  100.0
2.992  76.8
2.981  55.2
1.912  18.8
1.561  19.2

Diffraction record for LiMn2P2O8. The PXRD pattern is simulated, not measured: it uses a DFT-relaxed cell (PBE+U, the Materials Project) and CuKα.
Neutral-atom scattering factors, no anomalous dispersion.

Crystal structure
```
data_LiMn2P2O8
_chemical_formula_sum 'Li4 Mn8 P8 O32'
_cell_length_a 8.6671
_cell_length_b 5.1943
_cell_length_c 17.0370
_cell_angle_alpha 90.00
_cell_angle_beta 99.60
_cell_angle_gamma 90.00
_symmetry_space_group_name_H-M 'P 1 c 1'
_symmetry_Int_Tables_number 7
_symmetry_space_group_name_Hall 'P -2yc'
loop_
_atom_site_label
_atom_site_type_symbol
_atom_site_fract_x
_atom_site_fract_y
_atom_site_fract_z
Li1 Li 0.0000 0.1651 0.0000
Li2 Li 0.3915 0.3267 0.7397
Mn1 Mn 0.2709 0.3169 0.3760
Mn2 Mn 0.3658 0.1677 0.1167
Mn3 Mn 0.7628 0.3230 0.8596
Mn4 Mn 0.8562 0.1961 0.6298
P1 P 0.0828 0.1787 0.8108
P2 P 0.1766 0.3255 0.5617
P3 P 0.5649 0.1790 0.3015
P4 P 0.6873 0.3127 0.0537
O1 O 0.0034 0.2280 0.8843
O2 O 0.0123 0.1945 0.5568
O3 O 0.1282 0.1071 0.3015
O4 O 0.1632 0.3797 0.0713
O5 O 0.2297 0.2488 0.4830
O6 O 0.2339 0.3427 0.8154
O7 O 0.2931 0.2100 0.6323
O8 O 0.4556 0.3008 0.2297
O9 O 0.4846 0.2327 0.3767
O10 O 0.5152 0.2295 0.0393
O11 O 0.5814 0.1151 0.7892
O12 O 0.6862 0.3922 0.5761
O13 O 0.7257 0.3087 0.3193
O14 O 0.7686 0.2733 0.9808
O15 O 0.7832 0.1666 0.1255
O16 O 0.9597 0.2506 0.7371
```

Top 8 peaks for 10° ≤ 2θ ≤ 90°, in order of rising 2θ:
d [Å]  I_rel
4.273  8.7
4.201  100.0
4.094  13.2
3.340  15.0
3.281  31.8
2.945  11.1
2.597  17.6
2.418  13.6